Structure and calculated powder diffractogram of K2ReI4Br2 (a structure optimized by DFT (PBE); λ = 1.5418 Å (Cu Kα)).
Peak positions follow from Bragg's law for the DFT cell and can differ from measured ones.

Cell lengths 13.3832, 8.0657, 8.1395 Å; angles 90.00, 127.28, 90.00 degrees
Space group C2/m (No. 12)
Asymmetric unit:
1 K 0.2485 0.0000 0.2240
2 Re 0.0000 0.0000 0.5000
3 I 0.0355 0.2403 0.3001
4 Br 0.2337 0.0000 0.7936

Main lines, in order of rising 2θ (10° ≤ 2θ ≤ 90°):
h k l, 2θ (°), intensity
0 0 1, 13.7, 100
1 1 -1, 15.5, 44
2 0 0, 16.7, 44
2 0 1, 27.4, 35
4 0 -2, 27.6, 37
2 2 0, 27.8, 45
2 2 -2, 31.2, 95
4 0 0, 33.7, 27
4 2 -2, 35.6, 33
0 2 3, 47.8, 24